1.
Cu9Se8: calculated powder diffraction line list (CuKα), based on a structure optimized by DFT (GGA-PBE).
Kinematic intensities with the Lorentz-polarization factor, no thermal factor.

The 8 most intense peaks (10° ≤ 2θ ≤ 90°), low angle first:
2theta  I/Imax
27.1  39
28.4  57
35.9  10
43.2  21
47.2  100
56.0  23
69.0  15
87.8  30

```
17
Lattice="0.0000 5.4467 5.4467 5.4467 0.0000 5.4467 5.4467 5.4467 0.0000" Properties=species:S:1:pos:R:3 pbc="T T T"
Cu 0.0000 0.0000 0.0000
Cu 6.8174 4.0760 4.0760
Cu 4.0760 4.0760 4.0760
Cu 6.8174 6.8174 4.0760
Cu 6.8174 4.0760 6.8174
Cu 4.0760 6.8174 4.0760
Cu 4.0760 4.0760 6.8174
Cu 6.8174 6.8174 6.8174
Cu 4.0760 6.8174 6.8174
Se 5.4467 5.4467 2.6002
Se 5.4467 2.6002 5.4467
Se 8.2932 5.4467 5.4467
Se 2.7233 2.7233 2.7233
Se 8.1700 8.1700 8.1700
Se 2.6002 5.4467 5.4467
Se 5.4467 8.2932 5.4467
Se 5.4467 5.4467 8.2932
```

***

2.
Zn2Ge: calculated powder diffraction line list (CuKα), based on a structure optimized by DFT (GGA-PBE).
Kinematic intensities with the Lorentz-polarization factor, no thermal factor.

The 8 most intense peaks (10° ≤ 2θ ≤ 90°), low angle first:
2theta  I/Imax
36.0  13
38.2  42
40.9  100
41.1  50
53.4  15
64.9  15
70.8  18
77.9  17

```
24
Lattice="7.6453 0.0000 0.0000 0.0000 4.7162 0.0000 -2.2348 0.0000 11.2672" Properties=species:S:1:pos:R:3 pbc="T T T"
Zn -0.4366 1.1790 3.5538
Zn 0.2044 1.1790 0.8413
Zn -0.8303 1.1790 6.3030
Zn -1.3671 1.1790 9.3027
Zn 0.7383 3.5371 6.6638
Zn 0.2321 3.5371 9.5722
Zn 0.7967 1.1790 11.1207
Zn 1.9282 1.1790 5.4570
Zn 3.4824 3.5371 5.8102
Zn 4.6139 3.5371 0.1465
Zn 5.1785 1.1790 1.6950
Zn 4.6723 1.1790 4.6034
Zn 6.7777 3.5371 1.9645
Zn 6.2409 3.5371 4.9643
Zn 5.2061 3.5371 10.4259
Zn 5.8471 3.5371 7.7134
Ge 1.2204 3.5371 3.9303
Ge 1.8175 3.5371 1.0216
Ge 1.1306 1.1790 8.1913
Ge 2.4829 1.1790 2.6790
Ge 2.9276 3.5371 8.5882
Ge 4.2799 3.5371 3.0760
Ge 3.5930 1.1790 10.2456
Ge 4.1901 1.1790 7.3369
```

***

3.
Al2GaNi5: calculated powder diffraction line list (CuKα), based on a structure optimized by DFT (GGA-PBE).
Kinematic intensities with the Lorentz-polarization factor, no thermal factor.

The 8 most intense peaks (10° ≤ 2θ ≤ 90°), low angle first:
2theta  I/Imax
23.8  10
43.5  100
48.5  17
48.7  19
54.7  13
71.2  10
87.2  10
87.4  12

```
8
Lattice="3.3559 -3.7504 0.0000 3.3559 3.7504 0.0000 0.0000 0.0000 3.7409" Properties=species:S:1:pos:R:3 pbc="T T T"
Al 3.3559 2.1151 0.0000
Al 3.3559 -2.1151 0.0000
Ga 3.3559 0.0000 1.8705
Ni 0.0000 0.0000 1.8705
Ni 1.6779 1.8752 1.8705
Ni 1.8495 0.0000 0.0000
Ni 1.6779 -1.8752 1.8705
Ni 4.8623 0.0000 0.0000
```

***

4.
NaNbNO: calculated powder diffraction line list (CuKα), based on a structure optimized by DFT (GGA-PBE).
Kinematic intensities with the Lorentz-polarization factor, no thermal factor.

The 8 most intense peaks (10° ≤ 2θ ≤ 90°), low angle first:
2theta  I/Imax
11.6  100
27.1  43
27.4  51
34.0  57
35.2  39
40.0  36
50.3  32
66.1  29

```
16
Lattice="6.1821 0.0000 0.0000 0.0000 7.6583 0.0000 0.0000 0.0000 4.5070" Properties=species:S:1:pos:R:3 pbc="T T T"
Na 0.5794 0.8870 0.0000
Na 2.5116 0.8870 2.2535
Na 3.6705 6.7713 0.0000
Na 5.6026 6.7713 2.2535
Nb 0.5452 4.7427 4.5021
Nb 2.5459 4.7427 2.2486
Nb 3.6362 2.9156 4.5021
Nb 5.6369 2.9156 2.2486
N 0.5021 4.6490 2.2463
N 2.5889 4.6490 4.4997
N 3.5931 3.0093 2.2463
N 5.6800 3.0093 4.4997
O 0.2467 1.1980 2.2545
O 2.8444 1.1980 0.0011
O 3.3377 6.4603 2.2545
O 5.9354 6.4603 0.0011
```

***

5.
Cs2PaW3: calculated powder diffraction line list (CuKα), based on a structure optimized by DFT (GGA-PBE).
Kinematic intensities with the Lorentz-polarization factor, no thermal factor.

The 8 most intense peaks (10° ≤ 2θ ≤ 90°), low angle first:
2theta  I/Imax
24.5  48
31.4  59
36.5  100
38.1  41
41.3  32
50.1  38
59.3  25
77.5  27

```
6
Lattice="5.4605 0.0000 0.0000 -2.7303 4.7290 0.0000 0.0000 0.0000 5.6965" Properties=species:S:1:pos:R:3 pbc="T T T"
Cs 0.0000 3.1526 2.8209
Cs 2.7303 1.5763 2.8755
Pa 0.0000 0.0000 2.8482
W -1.3651 2.3645 0.0000
W 2.7303 0.0000 0.0000
W 1.3651 2.3645 0.0000
```